Simulated X-ray powder pattern
Compound: CuSO5
Radiation: CuKα
Structure: DFT lattice parameters and positions (GGA-PBE)

Crystal structure
```
data_CuSO5
_space_group_name_H-M_alt 'P -1'
_space_group_IT_number 2
_cell_length_a 5.392
_cell_length_b 5.621
_cell_length_c 6.592
_cell_angle_alpha 103.85
_cell_angle_beta 105.49
_cell_angle_gamma 90.31
loop_
_space_group_symop_operation_xyz
'x,y,z'
'-x,-y,-z'
loop_
_atom_site_label
_atom_site_fract_x
_atom_site_fract_y
_atom_site_fract_z
Cu1 0.000 0.000 0.000
Cu2 0.000 0.000 0.500
S1 0.349 0.689 0.255
O1 0.100 0.919 0.756
O2 0.153 0.713 0.386
O3 0.289 0.446 0.106
O4 0.320 0.898 0.141
O5 0.386 0.276 0.607
```

Main lines, low angle first (2θ from 5° to 70°):
2θ/deg, I_rel
16.29, 64.3
17.11, 33.6
18.88, 30.0
19.10, 18.9
22.80, 18.6
24.40, 18.2
24.58, 100.0
29.39, 40.6
29.58, 32.4
36.69, 15.9
38.49, 19.1
39.66, 27.7